[1]
Theoretical powder X-ray diffraction pattern of Nd4Fe3B6 for Cu Kα (λ = 1.5418 Å), from a structure optimized by DFT (PBE).
Neutral-atom scattering factors, no anomalous dispersion.

Top 10 peaks for 2θ from 10° to 90°, sorted by position:
| two_theta | I (rel.) |
| --- | --- |
| 23.7 | 35 |
| 33.3 | 100 |
| 33.8 | 29 |
| 37.3 | 19 |
| 41.2 | 66 |
| 59.5 | 22 |
| 60.0 | 15 |
| 64.9 | 14 |
| 69.9 | 11 |
| 74.9 | 11 |

Cell and atoms:
abc: 5.3834 5.3834 22.5690
angles: 90.00 90.00 120.00
Space group R-3m (No. 166, hexagonal axes)
Inequivalent atoms, fractional coordinates:
Nd1 0.0000 0.0000 0.0893 (multiplicity 6)
Nd2 0.0000 0.0000 0.2428 (multiplicity 6)
Fe1 0.0000 0.0000 0.3839 (multiplicity 6)
Fe2 0.0000 0.0000 0.5000 (multiplicity 3)
B1 0.0002 0.3333 0.3333 (multiplicity 18)


[2]
Theoretical powder X-ray diffraction pattern of ThNi5 for Cu Kα (λ = 1.5418 Å), from a structure optimized by DFT (PBE).
Neutral-atom scattering factors, no anomalous dispersion.

Top 10 peaks for 2θ from 10° to 90°, sorted by position:
| two_theta | I (rel.) |
| --- | --- |
| 30.6 | 72 |
| 36.5 | 38 |
| 42.4 | 38 |
| 43.2 | 100 |
| 45.3 | 25 |
| 59.6 | 18 |
| 62.1 | 20 |
| 63.8 | 22 |
| 70.3 | 23 |
| 82.2 | 15 |

Cell and atoms:
abc: 4.9230 4.9230 4.0007
angles: 90.00 90.00 120.00
Space group P6/mmm (No. 191)
Inequivalent atoms, fractional coordinates:
Th1 0.0000 0.0000 0.0000 (multiplicity 1)
Ni1 0.0000 0.5000 0.5000 (multiplicity 3)
Ni2 0.3333 0.6667 0.0000 (multiplicity 2)


[3]
Theoretical powder X-ray diffraction pattern of Li6UO6 for Cu Kα (λ = 1.5418 Å), from a structure optimized by DFT (PBE).
Neutral-atom scattering factors, no anomalous dispersion.

Top 10 peaks for 2θ from 10° to 90°, sorted by position:
| two_theta | I (rel.) |
| --- | --- |
| 16.9 | 100 |
| 21.0 | 39 |
| 26.8 | 29 |
| 27.1 | 39 |
| 34.5 | 17 |
| 40.5 | 30 |
| 42.1 | 17 |
| 46.3 | 16 |
| 52.5 | 16 |
| 56.0 | 12 |

Cell and atoms:
abc: 8.4685 8.4685 7.4651
angles: 90.00 90.00 120.00
Space group R-3m (No. 166, hexagonal axes)
Inequivalent atoms, fractional coordinates:
Li1 0.0000 0.3543 0.0000 (multiplicity 18)
U1 0.0000 0.0000 0.0000 (multiplicity 3)
O1 0.0873 0.5437 0.8123 (multiplicity 18)


[4]
Theoretical powder X-ray diffraction pattern of Ba5La3Ga4O16 for Cu Kα (λ = 1.5418 Å), from a structure optimized by DFT (PBE).
Neutral-atom scattering factors, no anomalous dispersion.

Top 10 peaks for 2θ from 10° to 90°, sorted by position:
| two_theta | I (rel.) |
| --- | --- |
| 25.9 | 40 |
| 28.2 | 17 |
| 29.3 | 28 |
| 29.4 | 30 |
| 29.6 | 78 |
| 29.7 | 100 |
| 30.2 | 60 |
| 30.4 | 58 |
| 37.1 | 23 |
| 42.6 | 23 |

Cell and atoms:
abc: 6.011 7.487 10.168
angles: 89.68 89.66 89.54
Space group P1 (No. 1)
Inequivalent atoms, fractional coordinates:
Ba1 0.000 0.000 0.000 (multiplicity 1)
Ba2 0.010 0.160 0.381 (multiplicity 1)
Ba3 0.485 0.829 0.494 (multiplicity 1)
Ba4 0.503 0.332 0.156 (multiplicity 1)
Ba5 0.984 0.499 0.655 (multiplicity 1)
La1 0.477 0.670 0.873 (multiplicity 1)
La2 0.507 0.171 0.778 (multiplicity 1)
La3 0.980 0.659 0.276 (multiplicity 1)
Ga1 0.002 0.449 0.987 (multiplicity 1)
Ga2 0.484 0.395 0.494 (multiplicity 1)
Ga3 0.501 0.876 0.155 (multiplicity 1)
Ga4 0.981 0.940 0.667 (multiplicity 1)
O1 0.118 0.671 0.029 (multiplicity 1)
O2 0.236 0.358 0.881 (multiplicity 1)
O3 0.240 0.906 0.249 (multiplicity 1)
O4 0.249 0.904 0.755 (multiplicity 1)
O5 0.256 0.488 0.387 (multiplicity 1)
O6 0.399 0.165 0.540 (multiplicity 1)
O7 0.486 0.517 0.656 (multiplicity 1)
O8 0.495 0.014 0.999 (multiplicity 1)
O9 0.615 0.654 0.106 (multiplicity 1)
O10 0.733 0.952 0.262 (multiplicity 1)
O11 0.738 0.405 0.896 (multiplicity 1)
O12 0.739 0.455 0.401 (multiplicity 1)
O13 0.752 0.847 0.773 (multiplicity 1)
O14 0.868 0.170 0.643 (multiplicity 1)
O15 0.986 0.813 0.507 (multiplicity 1)
O16 0.996 0.327 0.147 (multiplicity 1)


[5]
Theoretical powder X-ray diffraction pattern of HoMnGe for Cu Kα (λ = 1.5418 Å), from a structure optimized by DFT (PBE).
Neutral-atom scattering factors, no anomalous dispersion.

Top 10 peaks for 2θ from 10° to 90°, sorted by position:
| two_theta | I (rel.) |
| --- | --- |
| 24.5 | 21 |
| 34.0 | 73 |
| 34.1 | 20 |
| 35.5 | 100 |
| 36.4 | 34 |
| 40.1 | 16 |
| 40.7 | 23 |
| 44.2 | 31 |
| 58.6 | 17 |
| 65.9 | 17 |

Cell and atoms:
abc: 7.043 4.095 7.898
angles: 90.00 90.00 90.00
Space group Pnma (No. 62)
Inequivalent atoms, fractional coordinates:
Ho1 0.023 0.250 0.183 (multiplicity 4)
Mn1 0.133 0.250 0.556 (multiplicity 4)
Ge1 0.225 0.750 0.383 (multiplicity 4)